Structure and calculated powder diffraction line list of ErPuHfO6 (DFT lattice parameters and positions (GGA-PBE); a wavelength of 1.5418 Å).
Intensities are scaled so that the largest is 100.

Cell and atoms:
a = 5.5680 Å, b = 5.5680 Å, c = 9.4526 Å
α = 90.00°, β = 90.00°, γ = 120.00°
Element x y z (fractional)
Er1 0.0000 0.0000 0.0000
Er2 0.0000 0.0000 0.5000
Pu1 0.3333 0.6667 0.2500
Pu2 0.6667 0.3333 0.7500
Hf1 0.3333 0.6667 0.7500
Hf2 0.6667 0.3333 0.2500
O1 0.0066 0.3496 0.6348
O2 0.0066 0.6570 0.8652
O3 0.3430 0.3496 0.8652
O4 0.3430 0.9934 0.6348
O5 0.3496 0.0066 0.1348
O6 0.3496 0.3430 0.3652
O7 0.6504 0.6570 0.6348
O8 0.6504 0.9934 0.8652
O9 0.6570 0.0066 0.3652
O10 0.6570 0.6504 0.1348
O11 0.9934 0.3430 0.1348
O12 0.9934 0.6504 0.3652

Peak list (8 most intense, 2θ = 10–80°, most intense first)
26.41 deg, d 3.375, I = 100, hkl 1 0 2; 32.15 deg, d 2.784, I = 60, hkl 1 1 0; 50.67 deg, d 1.802, I = 48, hkl 1 1 4; 42.07 deg, d 2.148, I = 29, hkl 2 0 2; 53.92 deg, d 1.701, I = 29, hkl 2 1 2; 37.49 deg, d 2.399, I = 19, hkl 1 1 2; 57.32 deg, d 1.607, I = 19, hkl 3 0 0; 18.78 deg, d 4.726, I = 18, hkl 0 0 2